Record 1
The following is a simulated X-ray powder pattern of TiP. It was derived from a cell relaxed with GGA-PBE, using Cu Ka.
Neutral-atom scattering factors, no anomalous dispersion.

Principal peaks in the range 10° ≤ 2θ ≤ 90°, most intense first:
2θ 37.58, I 100.0; 2θ 52.34, I 49.2; 2θ 42.95, I 28.9; 2θ 33.31, I 27.4; 2θ 86.69, I 24.8; 2θ 49.14, I 22.0; 2θ 30.49, I 19.9; 2θ 63.47, I 16.5; 2θ 66.20, I 16.4; 2θ 89.17, I 14.4

Crystal structure
abc: 3.496 3.496 11.725
angles: 90.00 90.00 120.00
Fractional positions:
Ti: 0.333 0.667 0.116
Ti: 0.333 0.667 0.384
Ti: 0.667 0.333 0.616
Ti: 0.667 0.333 0.884
P: 0.000 0.000 0.000
P: 0.000 0.000 0.500
P: 0.333 0.667 0.750
P: 0.667 0.333 0.250

---

Record 2
The following is a simulated X-ray powder pattern of Ga2PbO4. It was derived from a cell relaxed with GGA-PBE, using Cu Ka.
Neutral-atom scattering factors, no anomalous dispersion.

Principal peaks in the range 10° ≤ 2θ ≤ 90°, most intense first:
2θ 28.08, I 100.0; 2θ 32.86, I 47.7; 2θ 27.78, I 46.6; 2θ 19.09, I 31.9; 2θ 44.16, I 29.9; 2θ 21.28, I 27.0; 2θ 33.63, I 23.5; 2θ 56.80, I 13.1; 2θ 46.04, I 13.0; 2θ 36.50, I 12.4

Crystal structure
abc: 8.706 5.453 5.453
angles: 121.49 90.00 90.00
Fractional positions:
Ga: 0.052 0.173 0.827
Ga: 0.448 0.173 0.827
Ga: 0.552 0.827 0.173
Ga: 0.948 0.827 0.173
Pb: 0.250 0.567 0.510
Pb: 0.750 0.510 0.567
O: 0.000 0.861 0.861
O: 0.059 0.530 0.164
O: 0.250 0.051 0.669
O: 0.441 0.530 0.164
O: 0.500 0.861 0.861
O: 0.559 0.164 0.530
O: 0.750 0.669 0.051
O: 0.941 0.164 0.530

---

Record 3
The following is a simulated X-ray powder pattern of V2ZnS4. It was derived from a cell relaxed with GGA-PBE, using Cu Ka.
Neutral-atom scattering factors, no anomalous dispersion.

Principal peaks in the range 10° ≤ 2θ ≤ 90°, most intense first:
2θ 29.40, I 100.0; 2θ 51.30, I 88.5; 2θ 46.85, I 46.9; 2θ 25.00, I 42.2; 2θ 35.64, I 38.4; 2θ 71.99, I 17.3; 2θ 44.03, I 16.7; 2θ 75.49, I 12.6; 2θ 83.00, I 11.9; 2θ 60.23, I 11.8

Crystal structure
abc: 7.124 7.124 7.124
angles: 60.00 60.00 60.00
Fractional positions:
V: 0.000 0.000 0.000
V: 0.000 0.000 0.500
V: 0.000 0.500 0.000
V: 0.500 0.000 0.000
Zn: 0.375 0.375 0.375
Zn: 0.625 0.625 0.625
S: 0.225 0.758 0.758
S: 0.242 0.242 0.242
S: 0.242 0.242 0.775
S: 0.242 0.775 0.242
S: 0.758 0.225 0.758
S: 0.758 0.758 0.225
S: 0.758 0.758 0.758
S: 0.775 0.242 0.242

---

Record 4
The following is a simulated X-ray powder pattern of NaSrPrSbO6. It was derived from a cell relaxed with GGA-PBE, using Cu Ka.
Neutral-atom scattering factors, no anomalous dispersion.

Principal peaks in the range 10° ≤ 2θ ≤ 90°, most intense first:
2θ 29.33, I 100.0; 2θ 52.02, I 40.3; 2θ 20.63, I 35.7; 2θ 41.96, I 34.7; 2θ 84.12, I 21.3; 2θ 60.85, I 21.1; 2θ 68.97, I 18.3; 2θ 47.20, I 14.5; 2θ 17.84, I 7.8; 2θ 76.66, I 6.8

Crystal structure
abc: 6.089 6.089 6.089
angles: 60.00 60.00 60.00
Fractional positions:
Na: 0.000 0.000 0.000
Sr: 0.500 0.500 0.500
Pr: 0.750 0.750 0.750
Sb: 0.250 0.250 0.250
O: 0.019 0.019 0.481
O: 0.019 0.481 0.019
O: 0.019 0.481 0.481
O: 0.481 0.019 0.019
O: 0.481 0.019 0.481
O: 0.481 0.481 0.019

---

Record 5
The following is a simulated X-ray powder pattern of Zr3As2. It was derived from a cell relaxed with GGA-PBE, using Cu Ka.
Neutral-atom scattering factors, no anomalous dispersion.

Principal peaks in the range 10° ≤ 2θ ≤ 90°, most intense first:
2θ 35.50, I 100.0; 2θ 39.03, I 98.1; 2θ 36.53, I 75.9; 2θ 35.79, I 74.2; 2θ 48.02, I 69.2; 2θ 33.97, I 64.6; 2θ 34.88, I 56.5; 2θ 45.31, I 51.9; 2θ 39.23, I 46.9; 2θ 30.73, I 43.4

Crystal structure
abc: 10.635 3.789 10.185
angles: 90.00 90.00 90.00
Fractional positions:
Zr: 0.045 0.250 0.124
Zr: 0.124 0.750 0.567
Zr: 0.214 0.250 0.795
Zr: 0.286 0.750 0.295
Zr: 0.376 0.250 0.067
Zr: 0.455 0.750 0.624
Zr: 0.545 0.250 0.376
Zr: 0.624 0.750 0.933
Zr: 0.714 0.250 0.705
Zr: 0.786 0.750 0.205
Zr: 0.876 0.250 0.433
Zr: 0.955 0.750 0.876
As: 0.029 0.750 0.320
As: 0.195 0.750 0.999
As: 0.305 0.250 0.499
As: 0.471 0.250 0.820
As: 0.529 0.750 0.180
As: 0.695 0.750 0.501
As: 0.805 0.250 0.001
As: 0.971 0.250 0.680